1.
Computed powder diffraction line list
Compound: Na2NiH8S2O12
Radiation: CuKα
Structure: a cell relaxed with GGA+U

Cell and atoms:
Unit cell a=5.5377 b=8.2978 c=11.1376 alpha=90.00 beta=99.88 gamma=90.00
Space group P2_1/c (No. 14)
Asymmetric unit:
1 Na 0.1209 0.0711 0.3634 [4 per cell]
2 Ni 0.0000 0.0000 0.0000 [2 per cell]
3 H 0.2240 0.6314 0.3436 [4 per cell]
4 H 0.2304 0.0599 0.8189 [4 per cell]
5 H 0.2435 0.7308 0.0083 [4 per cell]
6 H 0.3262 0.6938 0.6364 [4 per cell]
7 S 0.3786 0.2146 0.6372 [4 per cell]
8 O 0.1230 0.5312 0.3366 [4 per cell]
9 O 0.1778 0.7115 0.5740 [4 per cell]
10 O 0.2198 0.0840 0.5790 [4 per cell]
11 O 0.3152 0.1280 0.0751 [4 per cell]
12 O 0.3568 0.6810 0.8707 [4 per cell]
13 O 0.3607 0.2269 0.7703 [4 per cell]

Peak list (12 most intense, 2θ = 10–90°, sorted by position)
2theta	I_rel
13.4	22
16.2	19
19.4	62
20.0	15
20.9	36
22.2	19
26.6	20
27.0	100
27.2	35
27.4	18
34.0	24
42.6	18

---

2.
Computed powder diffraction line list
Compound: NaNi2H3Se2O10
Radiation: CuKα
Structure: a cell relaxed with GGA+U

Cell and atoms:
Unit cell a=8.9686 b=6.3710 c=7.6088 alpha=90.00 beta=114.93 gamma=90.00
Space group Cm (No. 8)
Asymmetric unit:
1 Na 0.0000 0.0000 0.0000 [2 per cell]
2 Ni 0.2495 0.2490 0.5010 [4 per cell]
3 H 0.1861 0.0000 0.7208 [2 per cell]
4 H 0.3120 0.5000 0.2774 [2 per cell]
5 H 0.4933 0.5000 0.4955 [2 per cell]
6 Se 0.0869 0.5000 0.7927 [2 per cell]
7 Se 0.4133 0.0000 0.2084 [2 per cell]
8 O 0.0305 0.2837 0.2504 [4 per cell]
9 O 0.1492 0.0000 0.5790 [2 per cell]
10 O 0.1839 0.5000 0.6405 [2 per cell]
11 O 0.2344 0.5000 0.0139 [2 per cell]
12 O 0.2658 0.0000 0.9875 [2 per cell]
13 O 0.3173 0.0000 0.3615 [2 per cell]
14 O 0.3495 0.5000 0.4197 [2 per cell]
15 O 0.4699 0.2164 0.7504 [4 per cell]

Peak list (12 most intense, 2θ = 10–90°, sorted by position)
2theta	I_rel
12.8	49
17.7	91
24.5	33
25.9	100
27.3	85
29.8	84
30.9	49
33.1	42
34.7	98
35.2	37
38.5	25
54.2	53